# 1
Nb4Te8Pb: computed powder XRD pattern (Cu Kα X-rays), based on a structure optimized by DFT (PBE).
No peak broadening, texture or thermal motion is included.

Cell: 12.7597 7.3782 9.6232 Å, 90.00 116.10 90.00°
Space group C2/m (No. 12)
Unique sites:
Nb1 0.0000 0.0000 0.0000 (multiplicity 2)
Nb2 0.0000 0.5000 0.0000 (multiplicity 2)
Nb3 0.2500 0.2500 0.0000 (multiplicity 4)
Te1 0.0122 0.2500 0.7856 (multiplicity 8)
Te2 0.2379 0.0000 0.2142 (multiplicity 4)
Te3 0.2382 0.5000 0.2144 (multiplicity 4)
Pb1 0.0000 0.0000 0.5000 (multiplicity 2)

Principal peaks in the range 10° ≤ 2θ ≤ 90°, by intensity:
31.23°, I 100, hkl 2 2 -2
39.63°, I 44, hkl 4 0 -4
10.24°, I 33, hkl 0 0 1
49.45°, I 29, hkl 0 4 0
37.18°, I 12, hkl 4 0 1
59.62°, I 11, hkl 4 4 0
14.29°, I 11, hkl 2 0 -1
65.15°, I 10, hkl 4 4 -4



# 2
Ti7NbPb2: computed powder XRD pattern (Cu Kα X-rays), based on a structure optimized by DFT (PBE).
No peak broadening, texture or thermal motion is included.

Cell: 9.5325 9.5325 9.5325 Å, 90.00 90.00 90.00°
Space group Fm-3m (No. 225)
Unique sites:
Ti1 0.0000 0.0000 0.0000 (multiplicity 4)
Ti2 0.0000 0.0000 0.2461 (multiplicity 24)
Nb1 0.0000 0.0000 0.5000 (multiplicity 4)
Pb1 0.2500 0.2500 0.2500 (multiplicity 8)

Principal peaks in the range 10° ≤ 2θ ≤ 90°, by intensity:
26.45°, I 100, hkl 2 2 0
37.75°, I 66, hkl 4 0 0
32.54°, I 58, hkl 2 2 2
46.68°, I 45, hkl 4 2 2
54.45°, I 44, hkl 4 4 0
74.49°, I 23, hkl 6 4 2
64.88°, I 23, hkl 6 2 2
61.53°, I 20, hkl 6 2 0



# 3
Ti7Nb2Pb2: computed powder XRD pattern (Cu Kα X-rays), based on a structure optimized by DFT (PBE).
No peak broadening, texture or thermal motion is included.

Cell: 5.8400 9.7950 7.9157 Å, 90.00 90.00 90.00°
Space group Cmmm (No. 65)
Unique sites:
Ti1 0.0000 0.0000 0.0000 (multiplicity 2)
Ti2 0.0000 0.5000 0.1762 (multiplicity 4)
Ti3 0.2500 0.2500 0.3028 (multiplicity 8)
Nb1 0.0000 0.2675 0.0000 (multiplicity 4)
Pb1 0.2465 0.0000 0.5000 (multiplicity 4)

Principal peaks in the range 10° ≤ 2θ ≤ 90°, by intensity:
32.69°, I 100, hkl 2 0 1
21.33°, I 97, hkl 0 2 1
42.68°, I 96, hkl 2 2 2
38.77°, I 71, hkl 0 2 3
49.95°, I 57, hkl 2 4 1
36.70°, I 54, hkl 0 4 0
22.46°, I 43, hkl 0 0 2
11.18°, I 32, hkl 0 0 1



# 4
Nb4Pd: computed powder XRD pattern (Cu Kα X-rays), based on a structure optimized by DFT (PBE).
No peak broadening, texture or thermal motion is included.

Cell: 3.4129 4.5023 22.8977 Å, 90.00 90.00 90.00°
Space group Fmmm (No. 69)
Unique sites:
Nb1 0.0000 0.0000 0.0964 (multiplicity 8)
Nb2 0.0000 0.0000 0.3018 (multiplicity 8)
Pd1 0.0000 0.0000 0.5000 (multiplicity 4)

Principal peaks in the range 10° ≤ 2θ ≤ 90°, by intensity:
38.50°, I 100, hkl 1 1 5
39.35°, I 23, hkl 0 0 10
40.05°, I 22, hkl 0 2 0
71.73°, I 15, hkl 1 3 5
70.78°, I 15, hkl 1 1 15
57.40°, I 15, hkl 0 2 10
82.50°, I 10, hkl 2 2 10
53.71°, I 9, hkl 2 0 0



# 5
Nb2Pd: computed powder XRD pattern (Cu Kα X-rays), based on a structure optimized by DFT (PBE).
No peak broadening, texture or thermal motion is included.

Cell: 3.6225 4.3350 13.1024 Å, 90.00 90.00 90.00°
Space group Fmmm (No. 69)
Unique sites:
Nb1 0.0000 0.0000 0.1631 (multiplicity 8)
Pd1 0.0000 0.0000 0.5000 (multiplicity 4)

Principal peaks in the range 10° ≤ 2θ ≤ 90°, by intensity:
38.39°, I 100, hkl 1 1 3
41.35°, I 20, hkl 0 0 6
41.67°, I 20, hkl 0 2 0
73.87°, I 14, hkl 1 3 3
73.42°, I 14, hkl 1 1 9
60.15°, I 13, hkl 0 2 6
50.38°, I 11, hkl 2 0 0
82.22°, I 10, hkl 2 2 6



# 6
PmNbPd2: computed powder XRD pattern (Cu Kα X-rays), based on a structure optimized by DFT (PBE).
No peak broadening, texture or thermal motion is included.

Cell: 3.3431 3.3431 7.1553 Å, 90.00 90.00 90.00°
Space group P4/mmm (No. 123)
Unique sites:
Pm1 0.0000 0.0000 0.0000 (multiplicity 1)
Nb1 0.0000 0.0000 0.5000 (multiplicity 1)
Pd1 0.5000 0.5000 0.2957 (multiplicity 2)

Principal peaks in the range 10° ≤ 2θ ≤ 90°, by intensity:
36.80°, I 100, hkl 1 0 2
38.07°, I 53, hkl 1 1 0
67.95°, I 32, hkl 2 1 2
54.93°, I 18, hkl 2 0 0
29.49°, I 13, hkl 1 0 1
65.43°, I 11, hkl 1 1 4
54.67°, I 8, hkl 1 1 3
78.28°, I 7, hkl 2 0 4



# 7
PrNbPd: computed powder XRD pattern (Cu Kα X-rays), based on a structure optimized by DFT (PBE).
No peak broadening, texture or thermal motion is included.

Cell: 5.0190 5.0410 10.7164 Å, 90.00 90.00 90.00°
Space group Cmmm (No. 65)
Unique sites:
Pr1 0.0000 0.0000 0.1743 (multiplicity 4)
Nb1 0.0000 0.5000 0.3833 (multiplicity 4)
Pd1 0.0000 0.0000 0.5000 (multiplicity 2)
Pd2 0.0000 0.5000 0.0000 (multiplicity 2)

Principal peaks in the range 10° ≤ 2θ ≤ 90°, by intensity:
35.62°, I 100, hkl 0 2 0
35.78°, I 24, hkl 2 0 0
51.38°, I 17, hkl 2 2 0
63.98°, I 17, hkl 1 3 3
64.19°, I 13, hkl 3 1 3
30.16°, I 11, hkl 1 1 2
86.45°, I 10, hkl 2 4 0
75.43°, I 7, hkl 0 4 0



# 8
NbPd5Pt6: computed powder XRD pattern (Cu Kα X-rays), based on a structure optimized by DFT (PBE).
No peak broadening, texture or thermal motion is included.

Cell: 3.9519 7.9983 11.8547 Å, 90.00 90.00 90.00°
Space group Immm (No. 71)
Unique sites:
Nb1 0.0000 0.0000 0.0000 (multiplicity 2)
Pd1 0.0000 0.0000 0.3356 (multiplicity 4)
Pd2 0.0000 0.5000 0.0000 (multiplicity 2)
Pd3 0.0000 0.5000 0.3345 (multiplicity 4)
Pt1 0.0000 0.2468 0.1656 (multiplicity 8)
Pt2 0.0000 0.2563 0.5000 (multiplicity 4)

Principal peaks in the range 10° ≤ 2θ ≤ 90°, by intensity:
39.34°, I 100, hkl 1 2 3
45.93°, I 32, hkl 2 0 0
80.53°, I 25, hkl 3 2 3
66.53°, I 21, hkl 2 4 0
45.36°, I 17, hkl 0 4 0
79.70°, I 13, hkl 1 6 3
84.62°, I 11, hkl 2 4 6
66.98°, I 10, hkl 2 0 6



# 9
NbPd5Pt8: computed powder XRD pattern (Cu Kα X-rays), based on a structure optimized by DFT (PBE).
No peak broadening, texture or thermal motion is included.

Cell: 7.8817 7.8817 7.5306 Å, 90.00 90.00 90.00°
Space group I-4 (No. 82)
Unique sites:
Nb1 0.0000 0.0000 0.0000 (multiplicity 2)
Pd1 0.0000 0.5000 0.2500 (multiplicity 2)
Pd2 0.1074 0.8152 0.5956 (multiplicity 8)
Pt1 0.0573 0.6616 0.9158 (multiplicity 8)
Pt2 0.1189 0.8087 0.2426 (multiplicity 8)

Principal peaks in the range 10° ≤ 2θ ≤ 90°, by intensity:
44.30°, I 100, hkl 2 1 3
36.04°, I 88, hkl 1 3 0
43.55°, I 80, hkl 1 3 2
37.61°, I 71, hkl 1 0 3
36.21°, I 69, hkl 3 0 1
27.95°, I 61, hkl 1 2 1
43.09°, I 57, hkl 2 3 1
40.26°, I 40, hkl 2 2 2



# 10
NbPdPt4: computed powder XRD pattern (Cu Kα X-rays), based on a structure optimized by DFT (PBE).
No peak broadening, texture or thermal motion is included.

Cell: 5.3310 7.5982 5.5479 Å, 90.00 118.21 90.00°
Space group C2/m (No. 12)
Unique sites:
Nb1 0.0000 0.0000 0.0000 (multiplicity 2)
Pd1 0.0000 0.0000 0.5000 (multiplicity 2)
Pt1 0.0133 0.3144 0.7519 (multiplicity 8)

Principal peaks in the range 10° ≤ 2θ ≤ 90°, by intensity:
40.46°, I 100, hkl 1 3 0
38.32°, I 63, hkl 2 0 0
44.05°, I 50, hkl 0 2 2
34.46°, I 47, hkl 1 1 -2
45.65°, I 44, hkl 2 2 -2
70.72°, I 40, hkl 3 3 0
23.42°, I 25, hkl 0 2 0
36.77°, I 24, hkl 0 0 2



# 11
Nb2PdPt7: computed powder XRD pattern (Cu Kα X-rays), based on a structure optimized by DFT (PBE).
No peak broadening, texture or thermal motion is included.

Cell: 7.2344 13.9157 3.9614 Å, 90.00 90.00 90.00°
Space group Cmmm (No. 65)
Unique sites:
Nb1 0.0000 0.1947 0.0000 (multiplicity 4)
Pd1 0.0000 0.5000 0.5000 (multiplicity 2)
Pt1 0.0000 0.0000 0.0000 (multiplicity 2)
Pt2 0.0000 0.3074 0.5000 (multiplicity 4)
Pt3 0.1929 0.3965 0.0000 (multiplicity 8)

Principal peaks in the range 10° ≤ 2θ ≤ 90°, by intensity:
41.57°, I 100, hkl 1 5 1
44.46°, I 70, hkl 3 1 1
35.81°, I 46, hkl 2 4 0
22.44°, I 42, hkl 0 0 1
45.81°, I 40, hkl 0 0 2
33.55°, I 33, hkl 2 0 1
78.29°, I 32, hkl 5 5 1
67.32°, I 32, hkl 0 10 0



# 12
Nb3Pd2Pt3: computed powder XRD pattern (Cu Kα X-rays), based on a structure optimized by DFT (PBE).
No peak broadening, texture or thermal motion is included.

Cell: 12.8533 4.5831 4.8299 Å, 90.00 111.44 90.00°
Space group C2/m (No. 12)
Unique sites:
Nb1 0.0000 0.0000 0.0000 (multiplicity 2)
Nb2 0.1373 0.0000 0.7104 (multiplicity 4)
Pd1 0.2483 0.5000 0.6748 (multiplicity 4)
Pt1 0.0000 0.5000 0.5000 (multiplicity 2)
Pt2 0.1304 0.5000 0.0777 (multiplicity 4)

Principal peaks in the range 10° ≤ 2θ ≤ 90°, by intensity:
40.73°, I 100, hkl 5 1 -1
40.41°, I 97, hkl 3 1 1
39.32°, I 62, hkl 0 2 0
37.23°, I 43, hkl 2 0 -2
42.93°, I 40, hkl 1 1 -2
20.75°, I 28, hkl 1 1 0
55.26°, I 28, hkl 2 2 -2
29.20°, I 23, hkl 4 0 -1